Structure and simulated PXRD pattern of Mg2Tl4Pb5 (the GGA-PBE geometry in Alexandria; λ = 1.5418 Å (Cu Kα)).

Atomic structure:
a = 9.002 Å, b = 20.488 Å, c = 3.540 Å
α = 90.00°, β = 90.00°, γ = 90.00°
Fractional coordinates of all 22 atoms:
Mg 0.138 0.216 0.000
Mg 0.362 0.716 0.000
Mg 0.638 0.284 0.000
Mg 0.862 0.784 0.000
Tl 0.015 0.647 0.000
Tl 0.173 0.945 0.000
Tl 0.327 0.445 0.000
Tl 0.485 0.147 0.000
Tl 0.515 0.853 0.000
Tl 0.673 0.555 0.000
Tl 0.827 0.055 0.000
Tl 0.985 0.353 0.000
Pb 0.000 0.500 0.500
Pb 0.152 0.801 0.500
Pb 0.167 0.089 0.500
Pb 0.333 0.589 0.500
Pb 0.348 0.301 0.500
Pb 0.500 0.000 0.500
Pb 0.652 0.699 0.500
Pb 0.667 0.411 0.500
Pb 0.833 0.911 0.500
Pb 0.848 0.199 0.500

Top 12 peaks for 2θ = 15–90°, in order of rising 2θ:
(hkl)  2θ/deg  d [Å]  I/Imax
1 6 0  27.95  3.193  17.5
3 1 0  30.11  2.968  100.0
1 7 0  32.16  2.783  34.6
1 4 1  32.31  2.771  52.7
2 6 0  32.92  2.720  14.4
2 3 1  34.82  2.577  36.7
2 4 1  36.76  2.445  17.2
0 10 1  51.54  1.773  20.7
0 0 2  51.65  1.770  12.7
3 1 2  60.94  1.520  14.8
3 11 1  64.50  1.445  18.9
6 0 2  84.64  1.145  14.3